Diffraction record for Cs2Hg2SeS2. The powder X-ray diffraction pattern is theoretical, not measured: it uses the PBE geometry in Alexandria and Cu Ka.
Kinematic intensities with the Lorentz-polarization factor, no thermal factor.

Most intense lines, 2θ = 10–90°, in order of rising 2θ:
- 17.59°, I 39, hkl 2 0 -2
- 22.47°, I 98, hkl 1 1 -1
- 22.81°, I 69, hkl 0 0 2
- 22.93°, I 74, hkl 4 0 -2
- 28.23°, I 100, hkl 1 1 -2
- 29.25°, I 42, hkl 4 0 0
- 30.23°, I 52, hkl 3 1 0
- 35.61°, I 38, hkl 4 0 -4
- 37.19°, I 43, hkl 3 1 1
- 48.37°, I 40, hkl 4 2 -2

Cell and atoms:
Cell lengths 15.800, 4.301, 10.085 Å; angles 90.00, 129.37, 90.00 degrees
Space group C2/m (No. 12)
One atom of each set of equivalent atoms:
1 Cs 0.004 0.000 0.286 x4
2 Hg 0.216 0.500 0.211 x4
3 Se 0.000 0.500 0.000 x2
4 S 0.179 0.500 0.683 x4

---

Diffraction record for CsSiHgS3. The powder X-ray diffraction pattern is theoretical, not measured: it uses the PBE geometry in Alexandria and Cu Ka.
Kinematic intensities with the Lorentz-polarization factor, no thermal factor.

Most intense lines, 2θ = 10–90°, in order of rising 2θ:
- 11.67°, I 56, hkl 0 0 1
- 13.64°, I 58, hkl 2 0 0
- 16.61°, I 32, hkl 1 1 -1
- 20.47°, I 50, hkl 2 0 1
- 23.41°, I 30, hkl 2 0 -2
- 26.49°, I 100, hkl 4 0 -1
- 27.47°, I 91, hkl 2 2 0
- 28.25°, I 97, hkl 2 2 -1
- 33.61°, I 43, hkl 0 2 2
- 46.88°, I 29, hkl 6 2 -1

Cell and atoms:
Cell lengths 13.592, 7.500, 7.940 Å; angles 90.00, 107.22, 90.00 degrees
Space group C2/m (No. 12)
One atom of each set of equivalent atoms:
1 Cs 0.188 0.000 0.216 x4
2 Si 0.007 0.500 0.153 x4
3 Hg 0.000 0.262 0.500 x4
4 S 0.078 0.261 0.813 x8
5 S 0.154 0.500 0.333 x4

---

Diffraction record for CsSm2HgS4. The powder X-ray diffraction pattern is theoretical, not measured: it uses the PBE geometry in Alexandria and Cu Ka.
Kinematic intensities with the Lorentz-polarization factor, no thermal factor.

Most intense lines, 2θ = 10–90°, in order of rising 2θ:
- 13.75°, I 36, hkl 0 2 1
- 24.00°, I 32, hkl 0 0 4
- 24.91°, I 31, hkl 0 4 0
- 25.04°, I 59, hkl 1 1 2
- 28.87°, I 31, hkl 1 3 1
- 30.73°, I 100, hkl 1 3 2
- 32.69°, I 32, hkl 0 2 5
- 41.75°, I 23, hkl 1 3 5
- 42.31°, I 24, hkl 1 5 3
- 42.79°, I 24, hkl 2 0 0

Cell and atoms:
Cell lengths 4.227, 14.301, 14.833 Å; angles 90.00, 90.00, 90.00 degrees
Space group Cmcm (No. 63)
One atom of each set of equivalent atoms:
1 Cs 0.000 0.117 0.250 x4
2 Sm 0.000 0.375 0.055 x8
3 Hg 0.000 0.168 0.750 x4
4 S 0.000 0.000 0.000 x4
5 S 0.000 0.256 0.596 x8
6 S 0.000 0.435 0.250 x4

---

Diffraction record for CsSnHg2S4. The powder X-ray diffraction pattern is theoretical, not measured: it uses the PBE geometry in Alexandria and Cu Ka.
Kinematic intensities with the Lorentz-polarization factor, no thermal factor.

Most intense lines, 2θ = 10–90°, in order of rising 2θ:
- 22.67°, I 30, hkl 0 2 0
- 25.69°, I 20, hkl 2 0 0
- 25.92°, I 100, hkl 1 1 2
- 31.41°, I 10, hkl 0 1 3
- 34.53°, I 34, hkl 2 2 0
- 41.85°, I 30, hkl 1 3 2
- 45.43°, I 24, hkl 3 1 2
- 53.70°, I 9, hkl 2 4 0
- 56.82°, I 10, hkl 3 3 2
- 58.14°, I 10, hkl 4 2 0

Cell and atoms:
Cell lengths 6.935, 7.844, 9.170 Å; angles 90.00, 90.00, 90.00 degrees
Space group I222 (No. 23)
One atom of each set of equivalent atoms:
1 Cs 0.000 0.000 0.000 x2
2 Sn 0.000 0.000 0.500 x2
3 Hg 0.000 0.500 0.208 x4
4 S 0.201 0.179 0.658 x8

---

Diffraction record for Cs2HgTeS. The powder X-ray diffraction pattern is theoretical, not measured: it uses the PBE geometry in Alexandria and Cu Ka.
Kinematic intensities with the Lorentz-polarization factor, no thermal factor.

Most intense lines, 2θ = 10–90°, in order of rising 2θ:
- 10.68°, I 42, hkl 1 0 0
- 16.33°, I 50, hkl 1 0 -2
- 22.21°, I 44, hkl 1 0 2
- 22.43°, I 55, hkl 2 0 -2
- 24.26°, I 29, hkl 1 1 1
- 24.89°, I 100, hkl 1 1 -2
- 28.57°, I 25, hkl 2 1 0
- 31.12°, I 44, hkl 1 0 -4
- 31.64°, I 36, hkl 2 1 1
- 37.83°, I 39, hkl 0 2 0

Cell and atoms:
Cell lengths 8.746, 4.756, 11.495 Å; angles 90.00, 108.64, 90.00 degrees
Space group P2_1/m (No. 11)
One atom of each set of equivalent atoms:
1 Cs 0.183 0.250 0.390 x2
2 Cs 0.214 0.250 0.964 x2
3 Hg 0.489 0.750 0.255 x2
4 Te 0.316 0.750 0.699 x2
5 S 0.194 0.750 0.178 x2

---

Diffraction record for CsTiHgS3. The powder X-ray diffraction pattern is theoretical, not measured: it uses the PBE geometry in Alexandria and Cu Ka.
Kinematic intensities with the Lorentz-polarization factor, no thermal factor.

Most intense lines, 2θ = 10–90°, in order of rising 2θ:
- 13.72°, I 50, hkl 1 1 0
- 24.35°, I 63, hkl 2 0 0
- 26.02°, I 100, hkl 1 3 -1
- 26.57°, I 49, hkl 0 0 2
- 27.05°, I 97, hkl 1 3 1
- 29.22°, I 30, hkl 0 4 1
- 34.77°, I 45, hkl 2 0 -2
- 37.87°, I 39, hkl 2 0 2
- 43.22°, I 27, hkl 3 3 -1
- 46.84°, I 26, hkl 2 6 0

Cell and atoms:
Cell lengths 7.336, 13.731, 6.732 Å; angles 90.00, 94.74, 90.00 degrees
Space group C2/c (No. 15)
One atom of each set of equivalent atoms:
1 Cs 0.000 0.233 0.250 x4
2 Ti 0.000 0.447 0.750 x4
3 Hg 0.000 0.080 0.750 x4
4 S 0.000 0.286 0.750 x4
5 S 0.217 0.490 0.509 x8